Entry 1:
NaSn2: computed X-ray powder pattern (Cu Kα), based on a crystal structure in the Materials Project, relaxed with GGA-PBE.
Kinematic intensities with the Lorentz-polarization factor, no thermal factor.

The 10 most intense peaks (15 to 90 degrees two-theta), low angle first:
2θ/deg  intensity
26.80  87
28.20  93
28.61  76
28.70  68
32.39  68
34.78  81
34.90  84
38.84  92
43.98  95
44.09  100

Structural model:
```
NaSn2
1.0
6.8111 -3.4705 0.0000
6.8111 3.4705 0.0000
-3.4668 0.0000 15.4250
Na Sn
8 16
Direct
0.1150 0.1150 0.4361
0.2282 0.2282 0.9131
0.2494 0.7506 0.0000
0.4050 0.4050 0.5811
0.5950 0.5950 0.4189
0.7506 0.2494 0.0000
0.7718 0.7718 0.0869
0.8850 0.8850 0.5639
0.1121 0.5450 0.7479
0.1305 0.5652 0.3939
0.1696 0.7407 0.2530
0.1735 0.1735 0.1153
0.2593 0.8304 0.7470
0.3853 0.3853 0.1163
0.4348 0.8695 0.6061
0.4550 0.8879 0.2521
0.5450 0.1121 0.7479
0.5652 0.1305 0.3939
0.6147 0.6147 0.8837
0.7407 0.1696 0.2530
0.8265 0.8265 0.8847
0.8304 0.2593 0.7470
0.8695 0.4348 0.6061
0.8879 0.4550 0.2521
```

---

Entry 2:
Na3Sn: computed X-ray powder pattern (Cu Kα), based on a crystal structure in the Materials Project, relaxed with GGA-PBE.
Kinematic intensities with the Lorentz-polarization factor, no thermal factor.

The 10 most intense peaks (15 to 90 degrees two-theta), low angle first:
2θ/deg  intensity
20.05  55
23.19  29
33.02  100
38.94  32
47.40  18
51.95  14
53.41  13
58.98  37
72.95  12
78.92  16

Structural model:
```
Na3Sn
1.0
7.6719 0.0000 0.0000
0.0000 7.6719 0.0000
0.0000 0.0000 7.6719
Na Sn
12 4
Direct
0.0000 0.0000 0.0000
0.0000 0.5000 0.5000
0.2500 0.2500 0.2500
0.2500 0.2500 0.7500
0.2500 0.7500 0.2500
0.2500 0.7500 0.7500
0.5000 0.0000 0.5000
0.5000 0.5000 0.0000
0.7500 0.2500 0.2500
0.7500 0.2500 0.7500
0.7500 0.7500 0.2500
0.7500 0.7500 0.7500
0.0000 0.0000 0.5000
0.0000 0.5000 0.0000
0.5000 0.0000 0.0000
0.5000 0.5000 0.5000
```